1.
Diffraction record for PmPu2Ge2Au2. The powder diffraction line list is simulated, not measured: it uses the GGA-PBE geometry in Alexandria and Cu Kα (weighted mean of Kα1 and Kα2).
Lines closer than 0.1° are merged.

Structural model:
Unit cell a=4.5659 b=4.5659 c=25.9776 alpha=90.00 beta=90.00 gamma=120.00
Space group R-3m (No. 166, hexagonal axes)
Unique sites:
1 Pm 0.0000 0.0000 0.0000 (multiplicity 3)
2 Pu 0.0000 0.0000 0.1416 (multiplicity 6)
3 Ge 0.0000 0.0000 0.2632 (multiplicity 6)
4 Au 0.0000 0.0000 0.4181 (multiplicity 6)

Top 8 peaks for 15 to 90 degrees two-theta, low angle first:
h k l  d (Å)  2theta  intensity
1 0 4  3.377  26.4  16
0 1 5  3.147  28.4  12
1 0 7  2.706  33.1  100
1 1 0  2.283  39.5  76
0 2 7  1.745  52.4  28
0 1 14  1.680  54.6  14
2 1 7  1.386  67.6  26
3 0 0  1.318  71.6  14

---

2.
Diffraction record for CaCu2PtO4. The powder diffraction line list is simulated, not measured: it uses the GGA-PBE geometry in Alexandria and Cu Kα (weighted mean of Kα1 and Kα2).
Lines closer than 0.1° are merged.

Structural model:
Unit cell a=5.063 b=5.719 c=6.926 alpha=90.00 beta=90.00 gamma=90.00
Space group I222 (No. 23)
Unique sites:
1 Ca 0.000 0.000 0.000 (multiplicity 2)
2 Cu 0.000 0.500 0.221 (multiplicity 4)
3 Pt 0.000 0.000 0.500 (multiplicity 2)
4 O 0.159 0.198 0.279 (multiplicity 8)

Top 8 peaks for 15 to 90 degrees two-theta, low angle first:
h k l  d (Å)  2theta  intensity
0 1 1  4.410  20.1  49
1 0 1  4.087  21.7  22
0 2 0  2.860  31.3  28
1 1 2  2.557  35.1  100
2 0 0  2.532  35.5  23
2 2 0  1.896  48.0  25
1 3 2  1.586  58.2  27
3 1 2  1.466  63.4  20

---

3.
Diffraction record for Pm15PrSm4. The powder diffraction line list is simulated, not measured: it uses the GGA-PBE geometry in Alexandria and Cu Kα (weighted mean of Kα1 and Kα2).
Lines closer than 0.1° are merged.

Structural model:
Unit cell a=5.162 b=5.162 c=25.789 alpha=90.00 beta=90.00 gamma=90.00
Space group P4/mmm (No. 123)
Unique sites:
1 Pm 0.000 0.000 0.000 (multiplicity 1)
2 Pm 0.000 0.000 0.201 (multiplicity 2)
3 Pm 0.000 0.000 0.400 (multiplicity 2)
4 Pm 0.000 0.500 0.101 (multiplicity 4)
5 Pm 0.000 0.500 0.300 (multiplicity 4)
6 Pm 0.000 0.500 0.500 (multiplicity 2)
7 Pr 0.500 0.500 0.000 (multiplicity 1)
8 Sm 0.500 0.500 0.201 (multiplicity 2)
9 Sm 0.500 0.500 0.400 (multiplicity 2)

Top 8 peaks for 15 to 90 degrees two-theta, low angle first:
h k l  d (Å)  2theta  intensity
1 1 5  2.979  30.0  100
2 0 0  2.580  34.8  51
2 2 0  1.824  50.0  36
3 1 5  1.556  59.4  43
2 2 10  1.490  62.3  12
4 0 0  1.290  73.4  6
3 3 5  1.184  81.3  18
4 2 0  1.154  83.8  16

---

4.
Diffraction record for PuPd6Au3. The powder diffraction line list is simulated, not measured: it uses the GGA-PBE geometry in Alexandria and Cu Kα (weighted mean of Kα1 and Kα2).
Lines closer than 0.1° are merged.

Structural model:
Unit cell a=5.3702 b=5.3702 c=7.2382 alpha=90.00 beta=90.00 gamma=120.00
Space group P-31m (No. 162)
Unique sites:
1 Pu 0.0000 0.0000 0.0000 (multiplicity 1)
2 Pd 0.0000 0.4337 0.8153 (multiplicity 6)
3 Au 0.0000 0.0000 0.5000 (multiplicity 1)
4 Au 0.3333 0.6667 0.5000 (multiplicity 2)

Top 8 peaks for 15 to 90 degrees two-theta, low angle first:
h k l  d (Å)  2theta  intensity
1 0 2  2.856  31.3  26
1 1 0  2.685  33.4  29
2 -1 1  2.517  35.7  45
0 0 3  2.413  37.3  21
2 0 0  2.325  38.7  32
2 0 1  2.214  40.8  19
1 1 2  2.156  41.9  100
2 -1 4  1.501  61.8  25

---

5.
Diffraction record for Cr3H2. The powder diffraction line list is simulated, not measured: it uses the GGA-PBE geometry in Alexandria and Cu Kα (weighted mean of Kα1 and Kα2).
Lines closer than 0.1° are merged.

Structural model:
Unit cell a=5.463 b=6.749 c=4.321 alpha=90.00 beta=90.00 gamma=90.00
Space group Ibam (No. 72)
Unique sites:
1 Cr 0.000 0.000 0.250 (multiplicity 4)
2 Cr 0.127 0.342 0.000 (multiplicity 8)
3 H 0.225 0.403 0.500 (multiplicity 8)

Top 8 peaks for 15 to 90 degrees two-theta, low angle first:
h k l  d (Å)  2theta  intensity
1 2 1  2.391  37.6  76
2 1 1  2.185  41.3  100
1 3 0  2.080  43.5  87
1 1 2  1.926  47.2  74
0 2 2  1.820  50.1  31
3 1 0  1.758  52.0  28
0 4 2  1.330  70.9  17
3 3 2  1.184  81.3  24

---

6.
Diffraction record for Ta4Cu3Ni9. The powder diffraction line list is simulated, not measured: it uses the GGA-PBE geometry in Alexandria and Cu Kα (weighted mean of Kα1 and Kα2).
Lines closer than 0.1° are merged.

Structural model:
Unit cell a=4.326 b=10.396 c=4.494 alpha=90.00 beta=90.00 gamma=90.00
Space group Pmm2 (No. 25)
Unique sites:
1 Ta 0.000 0.000 0.000 (multiplicity 1)
2 Ta 0.000 0.500 0.014 (multiplicity 1)
3 Ta 0.500 0.245 0.687 (multiplicity 2)
4 Cu 0.000 0.250 0.037 (multiplicity 2)
5 Cu 0.500 0.500 0.663 (multiplicity 1)
6 Ni 0.000 0.125 0.513 (multiplicity 2)
7 Ni 0.000 0.374 0.521 (multiplicity 2)
8 Ni 0.500 0.000 0.672 (multiplicity 1)
9 Ni 0.500 0.123 0.184 (multiplicity 2)
10 Ni 0.500 0.375 0.181 (multiplicity 2)

Top 8 peaks for 15 to 90 degrees two-theta, low angle first:
h k l  d (Å)  2theta  intensity
1 2 0  3.325  26.8  15
1 0 1  3.117  28.6  11
0 0 2  2.249  40.1  24
2 0 0  2.163  41.8  29
1 4 1  1.995  45.5  100
2 4 1  1.559  59.3  15
3 4 1  1.214  78.9  19
2 8 0  1.113  87.7  19

---

7.
Diffraction record for NdY5HoTm2. The powder diffraction line list is simulated, not measured: it uses the GGA-PBE geometry in Alexandria and Cu Kα (weighted mean of Kα1 and Kα2).
Lines closer than 0.1° are merged.

Structural model:
Unit cell a=5.621 b=20.240 c=10.424 alpha=90.00 beta=90.00 gamma=90.00
Space group Cmc2_1 (No. 36)
Unique sites:
1 Nd 0.000 0.196 0.000 (multiplicity 4)
2 Y 0.000 0.016 0.006 (multiplicity 4)
3 Y 0.000 0.277 0.301 (multiplicity 4)
4 Y 0.000 0.302 0.689 (multiplicity 4)
5 Y 0.000 0.390 0.011 (multiplicity 4)
6 Y 0.000 0.478 0.722 (multiplicity 4)
7 Ho 0.000 0.412 0.432 (multiplicity 4)
8 Tm 0.000 0.111 0.719 (multiplicity 4)
9 Tm 0.000 0.112 0.304 (multiplicity 4)

Top 8 peaks for 15 to 90 degrees two-theta, low angle first:
h k l  d (Å)  2theta  intensity
0 6 1  3.209  27.8  15
1 1 3  2.925  30.6  38
2 0 0  2.810  31.8  41
1 5 2  2.779  32.2  100
2 10 0  1.643  56.0  15
3 5 2  1.616  57.0  19
1 11 3  1.562  59.1  11
2 6 5  1.500  61.9  14

---

8.
Diffraction record for LiLaNdAl. The powder diffraction line list is simulated, not measured: it uses the GGA-PBE geometry in Alexandria and Cu Kα (weighted mean of Kα1 and Kα2).
Lines closer than 0.1° are merged.

Structural model:
Unit cell a=7.582 b=7.582 c=7.582 alpha=90.00 beta=90.00 gamma=90.00
Space group F-43m (No. 216)
Unique sites:
1 Li 0.000 0.000 0.000 (multiplicity 4)
2 La 0.250 0.250 0.750 (multiplicity 4)
3 Nd 0.250 0.250 0.250 (multiplicity 4)
4 Al 0.000 0.000 0.500 (multiplicity 4)

Top 8 peaks for 15 to 90 degrees two-theta, low angle first:
h k l  d (Å)  2theta  intensity
2 0 0  3.791  23.5  77
2 2 0  2.681  33.4  100
2 2 2  2.189  41.2  24
4 0 0  1.895  48.0  18
4 2 0  1.695  54.1  32
4 2 2  1.548  59.8  37
6 0 0  1.264  75.2  15
6 2 0  1.199  80.0  16